Cs2PtC4I2N4: theoretical X-ray diffraction stick pattern (λ = 1.5418 Å (Cu Kα)), based on a structure optimized by DFT (PBE).

Crystal structure
```
Cs2PtC4I2N4
1.0
7.692 0.000 0.000
0.000 9.570 0.000
-2.649 0.000 8.960
Cs Pt C I N
4 2 8 4 8
direct
0.022 0.219 0.384
0.022 0.281 0.884
0.978 0.719 0.116
0.978 0.781 0.616
0.500 0.000 0.000
0.500 0.500 0.500
0.306 0.026 0.104
0.306 0.474 0.604
0.317 0.038 0.804
0.317 0.462 0.304
0.683 0.538 0.696
0.683 0.962 0.196
0.694 0.526 0.396
0.694 0.974 0.896
0.419 0.722 0.969
0.419 0.778 0.469
0.581 0.222 0.531
0.581 0.278 0.031
0.190 0.042 0.160
0.190 0.458 0.660
0.205 0.062 0.692
0.205 0.438 0.192
0.795 0.562 0.808
0.795 0.938 0.308
0.810 0.542 0.340
0.810 0.958 0.840
```

Top 6 peaks for 2θ from 15° to 90°, sorted by position:
2θ 19.82, rel. 90; 2θ 20.06, rel. 86; 2θ 22.14, rel. 79; 2θ 24.13, rel. 84; 2θ 27.68, rel. 100; 2θ 29.73, rel. 83


Cs4Re3C9I3N9: theoretical X-ray diffraction stick pattern (λ = 1.5418 Å (Cu Kα)), based on a structure optimized by DFT (PBE).

Crystal structure
```
Cs4Re3C9I3N9
1.0
7.410 -7.356 0.000
7.410 7.356 0.000
-0.265 0.000 12.161
Cs Re C I N
8 6 18 6 18
direct
0.094 0.627 0.695
0.208 0.262 0.019
0.262 0.208 0.519
0.373 0.906 0.805
0.627 0.094 0.195
0.738 0.792 0.481
0.792 0.738 0.981
0.906 0.373 0.305
0.215 0.767 0.147
0.233 0.785 0.353
0.372 0.628 0.250
0.628 0.372 0.750
0.767 0.215 0.647
0.785 0.233 0.853
0.064 0.639 0.139
0.076 0.681 0.401
0.123 0.812 0.990
0.188 0.877 0.510
0.266 0.462 0.268
0.319 0.924 0.099
0.361 0.936 0.361
0.462 0.266 0.768
0.480 0.520 0.750
0.520 0.480 0.250
0.538 0.734 0.232
0.639 0.064 0.639
0.681 0.076 0.901
0.734 0.538 0.732
0.812 0.123 0.490
0.877 0.188 0.010
0.924 0.319 0.599
0.936 0.361 0.861
0.058 0.942 0.250
0.363 0.604 0.025
0.396 0.637 0.475
0.604 0.363 0.525
0.637 0.396 0.975
0.942 0.058 0.750
0.017 0.371 0.570
0.024 0.431 0.869
0.079 0.829 0.902
0.171 0.921 0.598
0.210 0.366 0.281
0.366 0.210 0.781
0.371 0.017 0.070
0.400 0.600 0.750
0.431 0.024 0.369
0.569 0.976 0.631
0.600 0.400 0.250
0.629 0.983 0.930
0.634 0.790 0.219
0.790 0.634 0.719
0.829 0.079 0.402
0.921 0.171 0.098
0.976 0.569 0.131
0.983 0.629 0.430
```

Top 6 peaks for 2θ from 15° to 90°, sorted by position:
2θ 16.99, rel. 60; 2θ 18.94, rel. 52; 2θ 20.18, rel. 89; 2θ 20.45, rel. 100; 2θ 24.02, rel. 66; 2θ 31.51, rel. 61


CsPr3CI6: theoretical X-ray diffraction stick pattern (λ = 1.5418 Å (Cu Kα)), based on a structure optimized by DFT (PBE).

Crystal structure
```
CsPr3CI6
1.0
9.669 0.000 0.000
0.099 9.738 0.000
0.969 3.346 9.701
Cs Pr C I
2 6 2 12
direct
0.034 0.131 0.172
0.966 0.869 0.828
0.247 0.583 0.502
0.418 0.249 0.505
0.475 0.395 0.813
0.525 0.605 0.187
0.582 0.751 0.495
0.753 0.417 0.498
0.494 0.476 0.572
0.506 0.524 0.428
0.093 0.297 0.496
0.164 0.504 0.831
0.216 0.724 0.176
0.292 0.908 0.501
0.346 0.089 0.832
0.421 0.296 0.176
0.579 0.704 0.824
0.654 0.911 0.168
0.708 0.092 0.499
0.784 0.276 0.824
0.836 0.496 0.169
0.907 0.703 0.504
```

Top 6 peaks for 2θ from 15° to 90°, sorted by position:
2θ 27.58, rel. 100; 2θ 28.95, rel. 77; 2θ 29.28, rel. 77; 2θ 40.31, rel. 30; 2θ 41.02, rel. 30; 2θ 41.26, rel. 29


Cs2Zr7CI18: theoretical X-ray diffraction stick pattern (λ = 1.5418 Å (Cu Kα)), based on a structure optimized by DFT (PBE).

Crystal structure
```
Cs2Zr7CI18
1.0
5.536 3.196 9.990
-5.536 3.196 9.990
0.000 -6.393 9.990
Cs Zr C I
2 7 1 18
direct
0.223 0.223 0.223
0.777 0.777 0.777
0.088 0.857 0.187
0.143 0.813 0.912
0.187 0.088 0.857
0.500 0.500 0.500
0.813 0.912 0.143
0.857 0.187 0.088
0.912 0.143 0.813
0.000 0.000 0.000
0.055 0.344 0.932
0.068 0.945 0.656
0.126 0.285 0.587
0.217 0.645 0.471
0.285 0.587 0.126
0.344 0.932 0.055
0.355 0.529 0.783
0.413 0.874 0.715
0.471 0.217 0.645
0.529 0.783 0.355
0.587 0.126 0.285
0.645 0.471 0.217
0.656 0.068 0.945
0.715 0.413 0.874
0.783 0.355 0.529
0.874 0.715 0.413
0.932 0.055 0.344
0.945 0.656 0.068
```

Top 6 peaks for 2θ from 15° to 90°, sorted by position:
2θ 26.77, rel. 29; 2θ 27.33, rel. 63; 2θ 28.79, rel. 100; 2θ 34.43, rel. 30; 2θ 43.24, rel. 45; 2θ 51.58, rel. 31